1.
Calculated powder diffractogram of LiHfMg14 for Cu Kα, 1.54184 Å, from a DFT-relaxed cell (PBE, the Materials Project).
Neutral-atom scattering factors, no anomalous dispersion.

Principal peaks in the range 2θ = 10–80°, by angle:
d/Å  2theta  intensity
5.535  16.01  44
4.863  18.24  64
3.748  23.74  34
3.048  29.30  21
2.894  30.90  18
2.767  32.36  28
2.546  35.25  25
2.431  36.97  100
1.874  48.59  17
1.447  64.39  19

Crystal structure
```
LiHfMg14
1.0
10.1849 0.0000 0.0000
0.0000 3.2001 5.5249
0.0000 -3.2001 5.5249
Li Hf Mg
1 1 14
Cartesian
0.0000 0.0000 0.0000
0.0000 0.0000 5.5469
0.0000 1.5674 8.3390
0.0000 -1.5674 8.3390
2.5144 0.0000 1.8601
2.5192 -1.5879 4.6466
2.5192 1.5879 4.6466
2.5331 0.0000 7.3681
5.0924 -1.5995 2.7887
5.0924 0.0000 0.0289
5.0924 1.5995 2.7887
5.0924 0.0000 5.5532
7.6518 0.0000 7.3681
7.6705 0.0000 1.8601
7.6657 -1.5879 4.6466
7.6657 1.5879 4.6466
```

=====

2.
Calculated powder diffractogram of Nb3Os2 for Cu Kα, 1.54184 Å, from a DFT-relaxed cell (PBE, the Materials Project).
Neutral-atom scattering factors, no anomalous dispersion.

Principal peaks in the range 2θ = 10–80°, by angle:
d/Å  2theta  intensity
4.533  19.58  35
2.546  35.25  24
2.413  37.26  77
2.350  38.30  15
2.267  39.77  22
2.210  40.83  64
2.181  41.40  100
2.134  42.36  29
2.127  42.51  30
1.389  67.43  36

Crystal structure
```
Nb3Os2
1.0
7.0213 -7.0501 0.0000
7.0213 7.0501 0.0000
0.0000 0.0000 5.0926
Nb Os
18 12
Cartesian
4.6543 4.1897 0.0376
7.0213 5.6121 0.0000
4.1418 2.3582 2.5757
2.5274 0.0000 3.8574
7.0213 2.5526 1.3008
7.0213 2.5519 3.8466
9.3883 4.1897 0.0376
5.5487 0.0000 2.5839
4.1418 -2.3582 2.5757
9.9008 2.3582 2.5757
8.4939 0.0000 2.5839
4.6543 -4.1897 0.0376
7.0213 -2.5526 1.3008
7.0213 -2.5519 3.8466
11.5151 0.0000 3.8574
9.9008 -2.3582 2.5757
7.0213 -5.6121 0.0000
9.3883 -4.1897 0.0376
0.0000 0.0000 2.4590
5.6827 4.7919 2.5744
2.5399 0.0000 1.2998
4.7115 1.3161 0.0355
8.3598 4.7919 2.5744
4.7115 -1.3161 0.0355
7.0213 0.0000 0.0326
9.3311 1.3161 0.0355
5.6827 -4.7919 2.5744
9.3311 -1.3161 0.0355
11.5027 0.0000 1.2998
8.3598 -4.7919 2.5744
```

=====

3.
Calculated powder diffractogram of Ti2P for Cu Kα, 1.54184 Å, from a DFT-relaxed cell (PBE, the Materials Project).
Neutral-atom scattering factors, no anomalous dispersion.

Principal peaks in the range 2θ = 10–80°, by angle:
d/Å  2theta  intensity
2.409  37.34  100
2.220  40.63  77
2.166  41.70  52
1.910  47.60  26
1.844  49.43  20
1.756  52.07  22
1.448  64.33  12
1.364  68.82  20
1.293  73.20  13
1.231  77.52  23

Crystal structure
```
Ti2P
1.0
6.6178 0.0000 0.0000
-3.3089 5.7312 0.0000
0.0000 0.0000 3.5126
Ti P
6 3
Cartesian
-0.8394 1.4538 0.0000
-1.9547 3.3856 1.7563
1.6787 0.0000 0.0000
1.3542 2.3456 1.7563
3.9093 0.0000 1.7563
2.4695 4.2774 0.0000
0.0000 0.0000 1.7563
0.0000 3.8208 0.0000
3.3089 1.9104 0.0000
```